Entry 1:
This entry pairs a crystal structure of LaHo6In2 with its theoretical XRD peak list. Radiation: copper Kα. Structure: DFT lattice parameters and positions (GGA-PBE).
Kinematic intensities with the Lorentz-polarization factor, no thermal factor.

Lattice parameters (Å, degrees): 8.787 8.787 8.787 138.55 138.55 60.06
Fractional coordinates of all 9 atoms:
La 0.000 0.000 0.000
Ho 0.234 0.596 0.000
Ho 0.250 0.750 0.500
Ho 0.404 0.404 0.638
Ho 0.596 0.234 0.000
Ho 0.750 0.250 0.500
Ho 0.766 0.766 0.362
In 0.219 0.219 0.000
In 0.781 0.781 0.000

Largest 10 diffraction maxima, low angle first, 5 to 70 degrees two-theta:
2theta, intensity
23.4, 100
31.1, 86
32.7, 85
36.9, 38
37.4, 66
41.1, 37
44.1, 39
61.8, 33
64.5, 25
64.8, 28


Entry 2:
This entry pairs a crystal structure of LaHo7In2 with its theoretical XRD peak list. Radiation: copper Kα. Structure: DFT lattice parameters and positions (GGA-PBE).
Kinematic intensities with the Lorentz-polarization factor, no thermal factor.

Lattice parameters (Å, degrees): 8.798 8.798 5.602 90.00 90.00 117.79
Fractional coordinates of all 10 atoms:
La 0.000 0.000 0.000
Ho 0.057 0.304 0.500
Ho 0.239 0.761 0.000
Ho 0.304 0.057 0.500
Ho 0.500 0.500 0.500
Ho 0.696 0.943 0.500
Ho 0.761 0.239 0.000
Ho 0.943 0.696 0.500
In 0.302 0.698 0.500
In 0.698 0.302 0.500

Largest 10 diffraction maxima, low angle first, 5 to 70 degrees two-theta:
2theta, intensity
15.8, 72
19.5, 46
25.2, 32
28.6, 79
30.8, 100
32.0, 87
34.2, 94
35.2, 84
45.0, 71
59.1, 33


Entry 3:
This entry pairs a crystal structure of La5Ho2In5 with its theoretical XRD peak list. Radiation: copper Kα. Structure: DFT lattice parameters and positions (GGA-PBE).
Kinematic intensities with the Lorentz-polarization factor, no thermal factor.

Lattice parameters (Å, degrees): 5.788 5.788 13.853 103.50 103.50 56.53
Fractional coordinates of all 12 atoms:
La 0.000 0.000 0.000
La 0.348 0.348 0.512
La 0.424 0.424 0.186
La 0.576 0.576 0.814
La 0.652 0.652 0.488
Ho 0.195 0.195 0.707
Ho 0.805 0.805 0.293
In 0.000 0.000 0.500
In 0.126 0.126 0.284
In 0.296 0.296 0.936
In 0.704 0.704 0.064
In 0.874 0.874 0.716

Largest 10 diffraction maxima, low angle first, 5 to 70 degrees two-theta:
2theta, intensity
26.7, 34
29.1, 51
31.0, 29
31.6, 100
32.7, 78
33.6, 35
33.7, 25
34.7, 26
37.4, 34
47.6, 27


Entry 4:
This entry pairs a crystal structure of La3HoIn2 with its theoretical XRD peak list. Radiation: copper Kα. Structure: DFT lattice parameters and positions (GGA-PBE).
Kinematic intensities with the Lorentz-polarization factor, no thermal factor.

Lattice parameters (Å, degrees): 9.822 9.822 9.822 139.16 58.97 139.37
Fractional coordinates of all 12 atoms:
La 0.177 0.249 0.426
La 0.250 0.250 0.000
La 0.323 0.749 0.072
La 0.677 0.251 0.928
La 0.750 0.750 0.000
La 0.823 0.751 0.574
Ho 0.250 0.750 0.500
Ho 0.750 0.250 0.500
In 0.131 0.738 0.870
In 0.369 0.238 0.607
In 0.631 0.762 0.393
In 0.869 0.262 0.130

Largest 10 diffraction maxima, low angle first, 5 to 70 degrees two-theta:
2theta, intensity
27.9, 34
28.1, 76
28.2, 76
31.4, 45
33.5, 74
33.6, 74
36.6, 35
37.2, 100
49.4, 51
64.9, 22


Entry 5:
This entry pairs a crystal structure of La2Ho5In with its theoretical XRD peak list. Radiation: copper Kα. Structure: DFT lattice parameters and positions (GGA-PBE).
Kinematic intensities with the Lorentz-polarization factor, no thermal factor.

Lattice parameters (Å, degrees): 6.699 6.702 7.145 105.93 104.99 115.53
Fractional coordinates of all 8 atoms:
La 0.000 0.000 0.000
La 0.110 0.572 0.683
Ho 0.090 0.590 0.176
Ho 0.515 0.519 0.512
Ho 0.572 0.110 0.684
Ho 0.586 0.086 0.176
Ho 0.993 0.997 0.512
In 0.521 0.515 0.035

Largest 10 diffraction maxima, low angle first, 5 to 70 degrees two-theta:
2theta, intensity
28.8, 48
31.6, 48
32.9, 100
33.1, 98
51.1, 38
57.0, 13
61.1, 14
61.3, 14
61.6, 14
62.1, 16


Entry 6:
This entry pairs a crystal structure of La5HoIn5 with its theoretical XRD peak list. Radiation: copper Kα. Structure: DFT lattice parameters and positions (GGA-PBE).
Kinematic intensities with the Lorentz-polarization factor, no thermal factor.

Lattice parameters (Å, degrees): 9.650 9.650 7.134 111.60 111.60 35.70
Fractional coordinates of all 11 atoms:
La 0.000 0.000 0.000
La 0.310 0.310 0.309
La 0.359 0.359 0.858
La 0.641 0.641 0.142
La 0.690 0.690 0.691
Ho 0.000 0.000 0.500
In 0.161 0.161 0.442
In 0.161 0.161 0.880
In 0.500 0.500 0.500
In 0.839 0.839 0.120
In 0.839 0.839 0.558

Largest 10 diffraction maxima, low angle first, 5 to 70 degrees two-theta:
2theta, intensity
25.0, 12
28.8, 21
29.2, 15
29.7, 12
30.2, 55
31.7, 34
33.3, 100
44.4, 27
55.7, 23
60.6, 15


Entry 7:
This entry pairs a crystal structure of LaHo4In2 with its theoretical XRD peak list. Radiation: copper Kα. Structure: DFT lattice parameters and positions (GGA-PBE).
Kinematic intensities with the Lorentz-polarization factor, no thermal factor.

Lattice parameters (Å, degrees): 8.048 6.886 6.364 74.69 55.61 49.70
Fractional coordinates of all 7 atoms:
La 0.000 0.000 0.000
Ho 0.250 0.250 0.250
Ho 0.332 0.668 0.332
Ho 0.668 0.332 0.668
Ho 0.750 0.750 0.750
In 0.283 0.283 0.717
In 0.717 0.717 0.283

Largest 10 diffraction maxima, low angle first, 5 to 70 degrees two-theta:
2theta, intensity
29.1, 82
29.8, 100
30.2, 71
31.1, 56
34.6, 99
36.2, 97
36.6, 40
53.0, 32
58.2, 35
66.7, 41


Entry 8:
This entry pairs a crystal structure of LaHoIn2S4 with its theoretical XRD peak list. Radiation: copper Kα. Structure: DFT lattice parameters and positions (GGA-PBE).
Kinematic intensities with the Lorentz-polarization factor, no thermal factor.

Lattice parameters (Å, degrees): 7.140 4.113 7.832 90.00 107.57 90.00
Fractional coordinates of all 8 atoms:
La 0.000 0.000 0.000
Ho 0.500 0.500 0.000
In 0.000 0.500 0.500
In 0.500 0.000 0.500
S 0.249 0.500 0.206
S 0.279 0.000 0.799
S 0.721 0.000 0.201
S 0.751 0.500 0.794

Largest 10 diffraction maxima, low angle first, 5 to 70 degrees two-theta:
2theta, intensity
23.8, 23
26.2, 50
29.7, 100
41.0, 37
44.0, 34
48.0, 13
50.7, 13
54.0, 12
61.7, 11
67.8, 10